Simulated PXRD pattern
Compound: CsTiBr5
Radiation: Cu Kα (λ = 1.5418 Å)
Structure: a structure optimized by DFT (PBE)
Intensities are scaled so that the largest is 100.

Most intense lines, 2θ = 5–70°, most intense first:
Position (°2θ), Rel. int.
15.66, 100
34.16, 98
25.61, 78
16.57, 62
30.67, 59
22.87, 52
29.29, 45
20.50, 44

Atomic structure:
a = 7.8972 Å, b = 7.8972 Å, c = 7.8972 Å
α = 113.45°, β = 88.45°, γ = 128.98°
Fractional positions:
Cs: 0.0000 0.0000 0.0000
Ti: 0.4996 0.9996 0.5000
Br: 0.1486 0.6486 0.5000
Br: 0.4852 0.1725 0.3127
Br: 0.5060 0.2953 0.7893
Br: 0.5060 0.7166 0.2107
Br: 0.8599 0.1725 0.6873

---

Simulated PXRD pattern
Compound: CsTiBr6
Radiation: Cu Kα (λ = 1.5418 Å)
Structure: a structure optimized by DFT (PBE)
Intensities are scaled so that the largest is 100.

Most intense lines, 2θ = 5–70°, most intense first:
Position (°2θ), Rel. int.
14.34, 100
28.91, 43
31.56, 36
32.41, 28
37.84, 27
41.34, 21
53.48, 17
43.97, 16

Atomic structure:
a = 8.7367 Å, b = 8.7367 Å, c = 8.7367 Å
α = 60.00°, β = 60.00°, γ = 60.00°
Fractional positions:
Cs: 0.0000 0.0000 0.0000
Ti: 0.5000 0.5000 0.5000
Br: 0.2974 0.2974 0.7026
Br: 0.2974 0.7026 0.2974
Br: 0.2974 0.7026 0.7026
Br: 0.7026 0.2974 0.2974
Br: 0.7026 0.2974 0.7026
Br: 0.7026 0.7026 0.2974

---

Simulated PXRD pattern
Compound: CsTi5Br12
Radiation: Cu Kα (λ = 1.5418 Å)
Structure: a structure optimized by DFT (PBE)
Intensities are scaled so that the largest is 100.

Most intense lines, 2θ = 5–70°, most intense first:
Position (°2θ), Rel. int.
32.35, 100
26.89, 82
32.05, 64
32.56, 63
27.60, 59
27.13, 58
16.89, 51
44.25, 42

Atomic structure:
a = 8.9791 Å, b = 8.9791 Å, c = 8.9791 Å
α = 110.86°, β = 109.10°, γ = 108.46°
Fractional positions:
Cs: 0.0000 0.0000 0.0000
Ti: 0.0000 0.5000 0.5000
Ti: 0.3690 0.5000 0.8690
Ti: 0.5000 0.1286 0.6286
Ti: 0.5000 0.8714 0.3714
Ti: 0.6310 0.5000 0.1310
Br: 0.1810 0.3250 0.5060
Br: 0.1810 0.6750 0.8560
Br: 0.1886 0.8443 0.3443
Br: 0.3421 0.1802 0.8381
Br: 0.3421 0.5040 0.1619
Br: 0.5001 0.1557 0.3443
Br: 0.4999 0.8443 0.6557
Br: 0.6579 0.4960 0.8381
Br: 0.6579 0.8198 0.1619
Br: 0.8114 0.1557 0.6557
Br: 0.8190 0.3250 0.1440
Br: 0.8190 0.6750 0.4940

---

Simulated PXRD pattern
Compound: Cs2Ti3Br10
Radiation: Cu Kα (λ = 1.5418 Å)
Structure: a structure optimized by DFT (PBE)
Intensities are scaled so that the largest is 100.

Most intense lines, 2θ = 5–70°, most intense first:
Position (°2θ), Rel. int.
29.45, 100
31.48, 98
28.27, 54
47.84, 42
30.92, 36
30.48, 35
49.44, 24
47.21, 24

Atomic structure:
a = 13.2120 Å, b = 13.2120 Å, c = 10.6026 Å
α = 110.85°, β = 110.85°, γ = 33.89°
Fractional positions:
Cs: 0.1217 0.1217 0.2429
Cs: 0.2288 0.2288 0.8095
Cs: 0.7712 0.7712 0.1905
Cs: 0.8783 0.8783 0.7571
Ti: 0.2629 0.7371 0.5000
Ti: 0.3227 0.3227 0.4776
Ti: 0.4224 0.4224 0.0168
Ti: 0.5776 0.5776 0.9832
Ti: 0.6773 0.6773 0.5224
Ti: 0.7371 0.2629 0.5000
Br: 0.0000 0.5000 0.5000
Br: 0.0184 0.0184 0.6729
Br: 0.1183 0.6062 0.0387
Br: 0.1456 0.6362 0.4651
Br: 0.2698 0.2698 0.2257
Br: 0.2763 0.7237 0.0000
Br: 0.3638 0.8544 0.5349
Br: 0.3709 0.3709 0.7482
Br: 0.3938 0.8817 0.9613
Br: 0.4805 0.4805 0.3059
Br: 0.5000 0.0000 0.5000
Br: 0.5195 0.5195 0.6941
Br: 0.6062 0.1183 0.0387
Br: 0.6291 0.6291 0.2518
Br: 0.6362 0.1456 0.4651
Br: 0.7237 0.2763 0.0000
Br: 0.7302 0.7302 0.7743
Br: 0.8544 0.3638 0.5349
Br: 0.8817 0.3938 0.9613
Br: 0.9816 0.9816 0.3271

---

Simulated PXRD pattern
Compound: CsTi2TlBr8
Radiation: Cu Kα (λ = 1.5418 Å)
Structure: a structure optimized by DFT (PBE)
Intensities are scaled so that the largest is 100.

Most intense lines, 2θ = 5–70°, most intense first:
Position (°2θ), Rel. int.
29.36, 100
25.85, 66
43.26, 51
21.27, 49
16.19, 38
40.73, 36
54.78, 24
14.11, 22

Atomic structure:
a = 7.2459 Å, b = 7.2459 Å, c = 11.1985 Å
α = 90.00°, β = 90.00°, γ = 120.00°
Fractional positions:
Cs: 0.0000 0.0000 0.0000
Ti: 0.3333 0.6667 0.7694
Ti: 0.6667 0.3333 0.2306
Tl: 0.0000 0.0000 0.5000
Br: 0.0135 0.3456 0.7044
Br: 0.3321 0.9865 0.7044
Br: 0.3333 0.6667 0.9857
Br: 0.3456 0.3321 0.2956
Br: 0.6544 0.6679 0.7044
Br: 0.6667 0.3333 0.0143
Br: 0.6679 0.0135 0.2956
Br: 0.9865 0.6544 0.2956

---

Simulated PXRD pattern
Compound: Cs2TiTlBr6
Radiation: Cu Kα (λ = 1.5418 Å)
Structure: a structure optimized by DFT (PBE)
Intensities are scaled so that the largest is 100.

Most intense lines, 2θ = 5–70°, most intense first:
Position (°2θ), Rel. int.
30.85, 100
44.19, 68
21.68, 66
26.63, 49
33.69, 26
38.02, 26
54.86, 22
25.48, 21

Atomic structure:
a = 8.1987 Å, b = 8.1987 Å, c = 8.1987 Å
α = 60.00°, β = 60.00°, γ = 60.00°
Fractional positions:
Cs: 0.2500 0.2500 0.2500
Cs: 0.7500 0.7500 0.7500
Ti: 0.0000 0.0000 0.0000
Tl: 0.5000 0.5000 0.5000
Br: 0.2244 0.2244 0.7756
Br: 0.2244 0.7756 0.2244
Br: 0.2244 0.7756 0.7756
Br: 0.7756 0.2244 0.2244
Br: 0.7756 0.2244 0.7756
Br: 0.7756 0.7756 0.2244

---

Simulated PXRD pattern
Compound: CsTlBr4
Radiation: Cu Kα (λ = 1.5418 Å)
Structure: a structure optimized by DFT (PBE)
Intensities are scaled so that the largest is 100.

Most intense lines, 2θ = 5–70°, most intense first:
Position (°2θ), Rel. int.
25.49, 100
16.66, 72
41.68, 46
27.02, 45
24.97, 44
29.93, 37
17.34, 37
14.84, 34

Atomic structure:
a = 7.2686 Å, b = 7.8076 Å, c = 18.5383 Å
α = 90.00°, β = 90.00°, γ = 90.00°
Fractional positions:
Cs: 0.1571 0.0493 0.3768
Cs: 0.3429 0.9507 0.8768
Cs: 0.6571 0.4507 0.6232
Cs: 0.8429 0.5493 0.1232
Tl: 0.1360 0.0255 0.6334
Tl: 0.3640 0.9745 0.1334
Tl: 0.6360 0.4745 0.3666
Tl: 0.8640 0.5255 0.8666
Br: 0.0115 0.3053 0.9550
Br: 0.0282 0.0516 0.1751
Br: 0.0598 0.5883 0.7507
Br: 0.1608 0.3141 0.5591
Br: 0.3392 0.6859 0.0591
Br: 0.4402 0.4117 0.2507
Br: 0.4718 0.9484 0.6751
Br: 0.4885 0.6947 0.4550
Br: 0.5115 0.1947 0.0450
Br: 0.5282 0.4484 0.8249
Br: 0.5598 0.9117 0.2493
Br: 0.6608 0.1859 0.4409
Br: 0.8392 0.8141 0.9409
Br: 0.9402 0.0883 0.7493
Br: 0.9718 0.5516 0.3249
Br: 0.9885 0.8053 0.5450

---

Simulated PXRD pattern
Compound: Cs6Tl3Br14
Radiation: Cu Kα (λ = 1.5418 Å)
Structure: a structure optimized by DFT (PBE)
Intensities are scaled so that the largest is 100.

Most intense lines, 2θ = 5–70°, most intense first:
Position (°2θ), Rel. int.
19.98, 100
26.75, 90
27.87, 75
29.96, 74
13.29, 67
14.85, 64
26.46, 56
24.07, 52

Atomic structure:
a = 13.3274 Å, b = 13.3274 Å, c = 6.9677 Å
α = 90.00°, β = 90.00°, γ = 120.00°
Fractional positions:
Cs: 0.0106 0.4499 0.0000
Cs: 0.3239 0.2198 0.4652
Cs: 0.4393 0.9894 0.0000
Cs: 0.5501 0.5607 0.0000
Cs: 0.7802 0.1041 0.4652
Cs: 0.8959 0.6761 0.4652
Tl: 0.0000 0.0000 0.0433
Tl: 0.3333 0.6667 0.5696
Tl: 0.6667 0.3333 0.7301
Br: 0.0000 0.0000 0.6689
Br: 0.0737 0.2092 0.1817
Br: 0.1356 0.9263 0.1817
Br: 0.1983 0.7423 0.7013
Br: 0.2577 0.4560 0.7013
Br: 0.3333 0.6667 0.1931
Br: 0.4382 0.2566 0.9559
Br: 0.5135 0.1050 0.5039
Br: 0.5440 0.8017 0.7013
Br: 0.5915 0.4865 0.5039
Br: 0.7434 0.1816 0.9559
Br: 0.7907 0.8644 0.1817
Br: 0.8184 0.5618 0.9559
Br: 0.8950 0.4085 0.5039

---

Simulated PXRD pattern
Compound: Cs2TlBr6
Radiation: Cu Kα (λ = 1.5418 Å)
Structure: a structure optimized by DFT (PBE)
Intensities are scaled so that the largest is 100.

Most intense lines, 2θ = 5–70°, most intense first:
Position (°2θ), Rel. int.
29.87, 100
37.53, 40
18.51, 34
47.96, 27
47.51, 27
23.24, 18
12.76, 17
29.05, 17

Atomic structure:
a = 7.6547 Å, b = 7.6547 Å, c = 6.9388 Å
α = 90.00°, β = 90.00°, γ = 120.00°
Fractional positions:
Cs: 0.3333 0.6667 0.2509
Cs: 0.6667 0.3333 0.7491
Tl: 0.0000 0.0000 0.0000
Br: 0.1715 0.3431 0.7677
Br: 0.1715 0.8285 0.7677
Br: 0.3431 0.1715 0.2323
Br: 0.6569 0.8285 0.7677
Br: 0.8285 0.1715 0.2323
Br: 0.8285 0.6569 0.2323

---

Simulated PXRD pattern
Compound: CsTlBr2
Radiation: Cu Kα (λ = 1.5418 Å)
Structure: a structure optimized by DFT (PBE)
Intensities are scaled so that the largest is 100.

Most intense lines, 2θ = 5–70°, most intense first:
Position (°2θ), Rel. int.
25.23, 100
35.92, 40
36.03, 38
44.40, 22
64.61, 21
21.80, 21
58.38, 19
58.53, 18

Atomic structure:
a = 8.6274 Å, b = 8.6274 Å, c = 8.6274 Å
α = 33.69°, β = 33.69°, γ = 33.69°
Fractional positions:
Cs: 0.0000 0.0000 0.0000
Tl: 0.5000 0.5000 0.5000
Br: 0.2426 0.2426 0.2426
Br: 0.7574 0.7574 0.7574

---

Simulated PXRD pattern
Compound: Cs2Tl3Br8
Radiation: Cu Kα (λ = 1.5418 Å)
Structure: a structure optimized by DFT (PBE)
Intensities are scaled so that the largest is 100.

Most intense lines, 2θ = 5–70°, most intense first:
Position (°2θ), Rel. int.
30.97, 100
22.02, 85
15.34, 58
15.69, 48
44.90, 46
38.32, 41
44.36, 37
31.69, 30

Atomic structure:
a = 5.7756 Å, b = 5.7756 Å, c = 16.9395 Å
α = 90.00°, β = 90.00°, γ = 90.00°
Fractional positions:
Cs: 0.0000 0.0000 0.1930
Cs: 0.0000 0.0000 0.8070
Tl: 0.5000 0.5000 0.0000
Tl: 0.5000 0.5000 0.3477
Tl: 0.5000 0.5000 0.6523
Br: 0.0000 0.5000 0.0000
Br: 0.0000 0.5000 0.3560
Br: 0.0000 0.5000 0.6440
Br: 0.5000 0.0000 0.0000
Br: 0.5000 0.0000 0.3560
Br: 0.5000 0.0000 0.6440
Br: 0.5000 0.5000 0.1753
Br: 0.5000 0.5000 0.8247

---

Simulated PXRD pattern
Compound: Cs3TlBr4
Radiation: Cu Kα (λ = 1.5418 Å)
Structure: a structure optimized by DFT (PBE)
Intensities are scaled so that the largest is 100.

Most intense lines, 2θ = 5–70°, most intense first:
Position (°2θ), Rel. int.
16.81, 100
29.38, 67
38.65, 61
24.55, 53
29.90, 47
29.23, 35
38.53, 31
20.82, 30

Atomic structure:
a = 12.2211 Å, b = 10.5124 Å, c = 7.2525 Å
α = 90.00°, β = 90.00°, γ = 90.00°
Fractional positions:
Cs: 0.0000 0.1573 0.9998
Cs: 0.2467 0.3308 0.5000
Cs: 0.2533 0.6692 0.0000
Cs: 0.5000 0.8427 0.4998
Cs: 0.7467 0.6692 0.0000
Cs: 0.7533 0.3308 0.5000
Tl: 0.0000 0.8275 0.4845
Tl: 0.5000 0.1725 0.9845
Br: 0.0000 0.1421 0.5000
Br: 0.0000 0.8244 0.0469
Br: 0.2391 0.6752 0.5001
Br: 0.2609 0.3248 0.0001
Br: 0.5000 0.1756 0.5469
Br: 0.5000 0.8579 0.0000
Br: 0.7391 0.3248 0.0001
Br: 0.7609 0.6752 0.5001

---

Q: Which formula does entry 6 have?
A: Cs2TiTlBr6